This entry pairs a crystal structure of MgW2Cl2 with its computed XRD peak list. Radiation: Cu Kα X-rays. Structure: a DFT-relaxed cell (PBE, Alexandria).
Kinematic intensities with the Lorentz-polarization factor, no thermal factor.

Top 10 peaks for 15° ≤ 2θ ≤ 90°, in order of rising 2θ:
2θ 22.2, intensity 1000
2θ 29.4, intensity 348
2θ 31.8, intensity 112
2θ 33.6, intensity 218
2θ 42.1, intensity 280
2θ 44.0, intensity 269
2θ 45.7, intensity 320
2θ 48.1, intensity 265
2θ 63.9, intensity 238
2θ 78.3, intensity 99

Structural model:
```
data_MgW2Cl2
_symmetry_space_group_name_H-M 'I 4/m m m'
_symmetry_Int_Tables_number 139
_symmetry_space_group_name_Hall '-I 4 2'
_cell_length_a 4.293
_cell_length_b 4.293
_cell_length_c 11.184
_cell_angle_alpha 90.00
_cell_angle_beta 90.00
_cell_angle_gamma 90.00
loop_
_atom_site_label
_atom_site_type_symbol
_atom_site_fract_x
_atom_site_fract_y
_atom_site_fract_z
Mg1 Mg 0.000 0.000 0.000
W1 W 0.000 0.000 0.400
Cl1 Cl 0.000 0.500 0.250
```

***

This entry pairs a crystal structure of Nd4TlBiH with its computed XRD peak list. Radiation: Cu Kα X-rays. Structure: a DFT-relaxed cell (PBE, Alexandria).
Kinematic intensities with the Lorentz-polarization factor, no thermal factor.

Top 10 peaks for 15° ≤ 2θ ≤ 90°, in order of rising 2θ:
2θ 28.6, intensity 642
2θ 28.7, intensity 634
2θ 30.2, intensity 542
2θ 31.5, intensity 471
2θ 33.6, intensity 793
2θ 33.7, intensity 785
2θ 38.3, intensity 1000
2θ 40.4, intensity 285
2θ 49.5, intensity 552
2θ 60.6, intensity 253

Structural model:
```
data_Nd4TlBiH
_symmetry_space_group_name_H-M 'C m c m'
_symmetry_Int_Tables_number 63
_symmetry_space_group_name_Hall '-C 2c 2'
_cell_length_a 6.630
_cell_length_b 17.778
_cell_length_c 6.667
_cell_angle_alpha 90.00
_cell_angle_beta 90.00
_cell_angle_gamma 90.00
loop_
_atom_site_label
_atom_site_type_symbol
_atom_site_fract_x
_atom_site_fract_y
_atom_site_fract_z
Nd1 Nd 0.000 0.069 0.250
Nd2 Nd 0.000 0.426 0.250
Nd3 Nd 0.250 0.250 0.000
Tl1 Tl 0.000 0.112 0.750
Bi1 Bi 0.000 0.389 0.750
H1 H 0.000 0.292 0.250
```

***

This entry pairs a crystal structure of Dy5Co19P12 with its computed XRD peak list. Radiation: Cu Kα X-rays. Structure: a DFT-relaxed cell (PBE, Alexandria).
Kinematic intensities with the Lorentz-polarization factor, no thermal factor.

Top 10 peaks for 15° ≤ 2θ ≤ 90°, in order of rising 2θ:
2θ 29.8, intensity 121
2θ 35.6, intensity 120
2θ 38.8, intensity 1000
2θ 39.8, intensity 463
2θ 49.6, intensity 212
2θ 52.9, intensity 196
2θ 59.7, intensity 113
2θ 73.6, intensity 111
2θ 75.5, intensity 128
2θ 85.7, intensity 147

Structural model:
```
data_Dy5Co19P12
_symmetry_space_group_name_H-M 'P -6 2 m'
_symmetry_Int_Tables_number 189
_symmetry_space_group_name_Hall 'P -6 -2'
_cell_length_a 11.9849
_cell_length_b 11.9849
_cell_length_c 3.6735
_cell_angle_alpha 90.00
_cell_angle_beta 90.00
_cell_angle_gamma 120.00
loop_
_atom_site_label
_atom_site_type_symbol
_atom_site_fract_x
_atom_site_fract_y
_atom_site_fract_z
Dy1 Dy 0.0000 0.8126 0.0000
Dy2 Dy 0.3333 0.6667 0.5000
Co1 Co 0.0000 0.0000 0.5000
Co2 Co 0.0000 0.2852 0.0000
Co3 Co 0.0000 0.4471 0.5000
Co4 Co 0.1252 0.6411 0.0000
Co5 Co 0.1782 0.3779 0.5000
P1 P 0.0000 0.1809 0.5000
P2 P 0.0000 0.6313 0.5000
P3 P 0.1660 0.4798 0.0000
```

***

This entry pairs a crystal structure of PmSi2AsO8 with its computed XRD peak list. Radiation: Cu Kα X-rays. Structure: a DFT-relaxed cell (PBE, Alexandria).
Kinematic intensities with the Lorentz-polarization factor, no thermal factor.

Top 10 peaks for 15° ≤ 2θ ≤ 90°, in order of rising 2θ:
2θ 19.4, intensity 568
2θ 25.6, intensity 1000
2θ 32.4, intensity 194
2θ 34.7, intensity 570
2θ 36.6, intensity 161
2θ 41.7, intensity 233
2θ 49.6, intensity 199
2θ 51.3, intensity 550
2θ 52.7, intensity 150
2θ 64.6, intensity 177

Structural model:
```
data_PmSi2AsO8
_symmetry_space_group_name_H-M 'I -4 m 2'
_symmetry_Int_Tables_number 119
_symmetry_space_group_name_Hall 'I -4 -2'
_cell_length_a 6.947
_cell_length_b 6.947
_cell_length_c 6.089
_cell_angle_alpha 90.00
_cell_angle_beta 90.00
_cell_angle_gamma 90.00
loop_
_atom_site_label
_atom_site_type_symbol
_atom_site_fract_x
_atom_site_fract_y
_atom_site_fract_z
Pm1 Pm 0.000 0.000 0.000
Si1 Si 0.000 0.000 0.500
Si2 Si 0.000 0.500 0.250
As1 As 0.000 0.500 0.750
O1 O 0.000 0.187 0.669
O2 O 0.000 0.329 0.063
```

***

This entry pairs a crystal structure of CaCuPt with its computed XRD peak list. Radiation: Cu Kα X-rays. Structure: a DFT-relaxed cell (PBE, Alexandria).
Kinematic intensities with the Lorentz-polarization factor, no thermal factor.

Top 10 peaks for 15° ≤ 2θ ≤ 90°, in order of rising 2θ:
2θ 20.9, intensity 1000
2θ 23.8, intensity 212
2θ 34.8, intensity 148
2θ 38.5, intensity 817
2θ 40.2, intensity 866
2θ 42.6, intensity 428
2θ 48.0, intensity 216
2θ 52.2, intensity 189
2θ 64.8, intensity 265
2θ 70.7, intensity 246

Structural model:
```
data_CaCuPt
_symmetry_space_group_name_H-M 'I m m a'
_symmetry_Int_Tables_number 74
_symmetry_space_group_name_Hall '-I 2b 2'
_cell_length_a 5.156
_cell_length_b 5.604
_cell_length_c 7.486
_cell_angle_alpha 90.00
_cell_angle_beta 90.00
_cell_angle_gamma 90.00
loop_
_atom_site_label
_atom_site_type_symbol
_atom_site_fract_x
_atom_site_fract_y
_atom_site_fract_z
Ca1 Ca 0.000 0.250 0.125
Cu1 Cu 0.250 0.250 0.750
Pt1 Pt 0.000 0.000 0.500
```

***

This entry pairs a crystal structure of ErTcP2Ru with its computed XRD peak list. Radiation: Cu Kα X-rays. Structure: a DFT-relaxed cell (PBE, Alexandria).
Kinematic intensities with the Lorentz-polarization factor, no thermal factor.

Top 10 peaks for 15° ≤ 2θ ≤ 90°, in order of rising 2θ:
2θ 23.6, intensity 323
2θ 36.0, intensity 338
2θ 36.3, intensity 1000
2θ 38.3, intensity 153
2θ 44.0, intensity 396
2θ 58.2, intensity 167
2θ 59.8, intensity 167
2θ 64.0, intensity 128
2θ 68.0, intensity 165
2θ 75.9, intensity 228

Structural model:
```
data_ErTcP2Ru
_symmetry_space_group_name_H-M 'I -4 m 2'
_symmetry_Int_Tables_number 119
_symmetry_space_group_name_Hall 'I -4 -2'
_cell_length_a 4.113
_cell_length_b 4.113
_cell_length_c 9.396
_cell_angle_alpha 90.00
_cell_angle_beta 90.00
_cell_angle_gamma 90.00
loop_
_atom_site_label
_atom_site_type_symbol
_atom_site_fract_x
_atom_site_fract_y
_atom_site_fract_z
Er1 Er 0.000 0.000 0.000
Tc1 Tc 0.000 0.500 0.250
P1 P 0.000 0.000 0.372
Ru1 Ru 0.000 0.500 0.750
```